[1]
Structure and theoretical powder X-ray diffraction pattern of Hf2ZrNi2Pd2N4 (a structure optimized by DFT (PBE); Cu Kα X-rays).

Cell and atoms:
```
11
Lattice="5.8440 0.0000 0.0000 0.0000 3.0768 0.0000 -1.7538 0.0000 8.0809" Properties=species:S:1:pos:R:3 pbc="T T T"
Hf 0.0000 0.0000 0.0000
Hf 1.3410 1.5384 3.6559
Zr 4.3055 1.5384 4.8193
Ni -0.4472 0.0000 2.4186
Ni 3.5644 1.5384 2.2524
Pd 2.3105 1.5384 0.1246
Pd 1.7875 0.0000 6.2738
N 0.5055 1.5384 1.6642
N 0.0361 0.0000 4.4944
N 2.9833 0.0000 3.6629
N 3.6034 1.5384 6.7771
```

Largest 10 diffraction maxima, most intense first, 5 to 70 degrees two-theta:
| 2θ (°) | I/Imax |
| --- | --- |
| 38.1 | 100 |
| 43.2 | 88 |
| 33.6 | 88 |
| 31.1 | 78 |
| 50.1 | 69 |
| 29.7 | 68 |
| 22.0 | 67 |
| 31.3 | 65 |
| 33.8 | 64 |
| 42.0 | 63 |



[2]
Structure and theoretical powder X-ray diffraction pattern of TmLu3Sc2Bi2Os (a structure optimized by DFT (PBE); Cu Kα X-rays).

Cell and atoms:
```
9
Lattice="4.1114 0.0000 0.0000 0.0000 7.0187 4.0179 0.0000 -7.0187 4.0179" Properties=species:S:1:pos:R:3 pbc="T T T"
Tm 0.0000 0.0000 0.0000
Lu 2.0557 -1.6650 2.1484
Lu 2.0557 1.6650 2.1484
Lu 2.0557 0.0000 4.9724
Sc 0.0000 -2.6596 4.5948
Sc 0.0000 2.6596 4.5948
Bi 2.0557 -4.6450 3.0626
Bi 2.0557 4.6450 3.0626
Os 0.0000 0.0000 3.0821
```

Largest 10 diffraction maxima, most intense first, 5 to 70 degrees two-theta:
| 2θ (°) | I/Imax |
| --- | --- |
| 40.5 | 100 |
| 33.7 | 82 |
| 31.0 | 75 |
| 40.7 | 56 |
| 33.9 | 55 |
| 33.6 | 50 |
| 38.7 | 50 |
| 12.6 | 49 |
| 44.1 | 45 |
| 31.1 | 40 |



[3]
Structure and theoretical powder X-ray diffraction pattern of CsAcTm (a structure optimized by DFT (PBE); Cu Kα X-rays).

Cell and atoms:
```
12
Lattice="8.2450 0.0000 0.0000 0.0000 8.2450 0.0000 0.0000 0.0000 8.2450" Properties=species:S:1:pos:R:3 pbc="T T T"
Cs 0.0000 0.0000 0.0000
Cs 0.0000 4.1225 4.1225
Cs 4.1225 0.0000 4.1225
Cs 4.1225 4.1225 0.0000
Ac 2.0612 2.0612 6.1837
Ac 2.0612 6.1837 2.0612
Ac 6.1837 2.0612 2.0612
Ac 6.1837 6.1837 6.1837
Tm 2.0612 2.0612 2.0612
Tm 2.0612 6.1837 6.1837
Tm 6.1837 2.0612 6.1837
Tm 6.1837 6.1837 2.0612
```

Largest 10 diffraction maxima, most intense first, 5 to 70 degrees two-theta:
| 2θ (°) | I/Imax |
| --- | --- |
| 30.7 | 100 |
| 54.5 | 40 |
| 21.6 | 29 |
| 43.9 | 19 |
| 18.6 | 17 |
| 49.4 | 14 |
| 63.9 | 13 |
| 37.8 | 10 |
| 36.1 | 9 |
| 68.3 | 7 |



[4]
Structure and theoretical powder X-ray diffraction pattern of DySI (a structure optimized by DFT (PBE); Cu Kα X-rays).

Cell and atoms:
```
6
Lattice="4.1880 0.0000 0.0000 0.0000 5.3529 0.0000 0.0000 0.0000 9.6641" Properties=species:S:1:pos:R:3 pbc="T T T"
Dy 1.0470 1.3382 1.1437
Dy 3.1410 4.0146 8.5205
S 1.0470 4.0146 0.6269
S 3.1410 1.3382 9.0373
I 1.0470 4.0146 6.2967
I 3.1410 1.3382 3.3675
```

Largest 10 diffraction maxima, most intense first, 5 to 70 degrees two-theta:
| 2θ (°) | I/Imax |
| --- | --- |
| 19.0 | 100 |
| 28.2 | 90 |
| 44.3 | 53 |
| 28.6 | 48 |
| 39.1 | 43 |
| 9.2 | 39 |
| 33.5 | 32 |
| 47.6 | 18 |
| 37.2 | 16 |
| 43.2 | 16 |



[5]
Structure and theoretical powder X-ray diffraction pattern of Ag2HgGeTe2Se2 (a structure optimized by DFT (PBE); Cu Kα X-rays).

Cell and atoms:
```
8
Lattice="0.0000 4.4826 6.1517 4.4087 0.0000 6.1517 4.4087 4.4826 0.0000" Properties=species:S:1:pos:R:3 pbc="T T T"
Ag 2.2044 2.2413 0.0000
Ag 2.2044 2.2413 6.1517
Hg 4.4087 4.4826 3.2120
Ge 4.4087 4.4826 9.4859
Te 4.4087 2.4135 7.8403
Te 4.4087 6.5517 7.8403
Se 6.8199 4.4826 4.7372
Se 1.9975 4.4826 4.7372
```

Largest 10 diffraction maxima, most intense first, 5 to 70 degrees two-theta:
| 2θ (°) | I/Imax |
| --- | --- |
| 24.8 | 100 |
| 41.1 | 96 |
| 24.6 | 93 |
| 47.9 | 32 |
| 48.3 | 28 |
| 40.2 | 25 |
| 40.9 | 24 |
| 65.2 | 18 |
| 48.8 | 17 |
| 58.8 | 15 |



[6]
Structure and theoretical powder X-ray diffraction pattern of Ag2O (a structure optimized by DFT (PBE); Cu Kα X-rays).

Cell and atoms:
```
6
Lattice="0.0000 7.7996 1.7886 3.4220 0.0000 1.7886 3.4220 7.7996 0.0000" Properties=species:S:1:pos:R:3 pbc="T T T"
Ag 3.9516 4.8939 1.7886
Ag 4.6034 8.7937 2.6829
Ag 2.8924 10.7052 1.7886
Ag 2.2406 6.8054 2.6829
O 3.4220 7.7996 0.9167
O 5.1330 11.6993 1.8110
```

Largest 10 diffraction maxima, most intense first, 5 to 70 degrees two-theta:
| 2θ (°) | I/Imax |
| --- | --- |
| 33.1 | 100 |
| 34.9 | 86 |
| 40.6 | 59 |
| 28.7 | 52 |
| 47.6 | 49 |
| 46.6 | 23 |
| 52.5 | 22 |
| 28.5 | 22 |
| 59.5 | 18 |
| 43.7 | 16 |



[7]
Structure and theoretical powder X-ray diffraction pattern of TbCdAu (a structure optimized by DFT (PBE); Cu Kα X-rays).

Cell and atoms:
```
9
Lattice="7.8133 0.0000 0.0000 -3.9066 6.7665 0.0000 0.0000 0.0000 3.9268" Properties=species:S:1:pos:R:3 pbc="T T T"
Tb -1.5713 2.7215 0.0000
Tb 3.1425 0.0000 0.0000
Tb 2.3354 4.0450 0.0000
Cd -2.8779 4.9847 1.9634
Cd 1.0287 1.7818 1.9634
Cd 5.7558 0.0000 1.9634
Au 0.0000 0.0000 0.0000
Au 0.0000 4.5110 1.9634
Au 3.9066 2.2555 1.9634
```

Largest 10 diffraction maxima, most intense first, 5 to 70 degrees two-theta:
| 2θ (°) | I/Imax |
| --- | --- |
| 35.0 | 100 |
| 32.3 | 64 |
| 40.0 | 45 |
| 42.2 | 32 |
| 64.6 | 29 |
| 62.7 | 24 |
| 46.2 | 19 |
| 22.8 | 13 |
| 26.2 | 10 |
| 59.3 | 10 |



[8]
Structure and theoretical powder X-ray diffraction pattern of HoTm2Si4Pd4 (a structure optimized by DFT (PBE); Cu Kα X-rays).

Cell and atoms:
```
11
Lattice="-2.0425 3.4783 6.7874 2.0425 -3.4783 6.7874 2.0425 3.4783 -6.7874" Properties=species:S:1:pos:R:3 pbc="T T T"
Ho 0.0000 0.0000 0.0000
Tm 2.0425 0.0000 5.0969
Tm 0.0000 3.4783 1.6905
Si 0.0000 0.0000 2.9832
Si 2.0425 2.2209 0.0000
Si 0.0000 1.2574 6.7874
Si 0.0000 0.0000 10.5916
Pd 2.0425 1.4004 -2.3650
Pd 2.0425 1.4004 2.3650
Pd 0.0000 2.0779 4.4225
Pd 0.0000 2.0779 9.1524
```

Largest 10 diffraction maxima, most intense first, 5 to 70 degrees two-theta:
| 2θ (°) | I/Imax |
| --- | --- |
| 34.5 | 100 |
| 36.8 | 83 |
| 43.9 | 40 |
| 44.4 | 36 |
| 39.4 | 35 |
| 35.5 | 33 |
| 39.9 | 30 |
| 64.2 | 26 |
| 58.0 | 24 |
| 28.5 | 19 |



[9]
Structure and theoretical powder X-ray diffraction pattern of Li8Pm4O11 (a structure optimized by DFT (PBE); Cu Kα X-rays).

Cell and atoms:
```
23
Lattice="4.9951 0.0000 0.0000 0.5231 5.9882 0.0000 2.4677 1.6991 9.1026" Properties=species:S:1:pos:R:3 pbc="T T T"
Li 0.0000 0.0000 0.0000
Li 1.9199 2.6518 6.4542
Li 2.7461 4.7268 5.2682
Li 2.8379 2.4824 4.2085
Li 3.0669 5.4410 0.3859
Li 3.6903 4.4452 2.9752
Li 5.2868 3.6785 4.7499
Li 7.1091 5.7770 8.0340
Pm 1.0126 3.3233 1.5363
Pm 4.8317 3.7271 7.9901
Pm 5.0091 6.7313 6.3139
Pm 5.9519 6.3673 3.0941
O 1.8940 4.2294 3.4489
O 1.3305 1.0997 0.8833
O 3.9593 5.9464 8.3806
O 3.7391 2.9514 6.1159
O 4.3312 5.5721 4.4813
O 3.6793 3.2736 0.7175
O 4.4411 2.5542 3.1132
O 4.6341 5.2279 1.5312
O 5.9803 1.7362 7.8716
O 6.3482 4.6984 6.6362
O 6.2363 1.5774 4.8919
```

Largest 10 diffraction maxima, most intense first, 5 to 70 degrees two-theta:
| 2θ (°) | I/Imax |
| --- | --- |
| 18.6 | 100 |
| 19.4 | 35 |
| 35.2 | 35 |
| 30.6 | 27 |
| 22.9 | 27 |
| 39.3 | 26 |
| 25.4 | 22 |
| 30.4 | 20 |
| 23.4 | 19 |
| 44.1 | 18 |



[10]
Structure and theoretical powder X-ray diffraction pattern of CdPtSO (a structure optimized by DFT (PBE); Cu Kα X-rays).

Cell and atoms:
```
16
Lattice="5.8391 0.0000 0.0000 0.0000 6.1133 0.0000 0.0000 0.0000 7.4281" Properties=species:S:1:pos:R:3 pbc="T T T"
Cd 1.1663 0.3112 2.1185
Cd 1.7533 5.8020 5.8326
Cd 4.0858 2.7454 5.3095
Cd 4.6728 3.3679 1.5955
Pt 1.0705 2.9693 3.6858
Pt 1.8490 3.1440 7.3998
Pt 3.9900 0.0874 3.7422
Pt 4.7686 6.0259 0.0282
S 0.1208 5.0564 3.9865
S 2.7988 1.0569 0.2725
S 3.0403 4.1135 3.4415
S 5.7183 1.9998 7.1555
O 0.6609 4.8272 0.4036
O 2.2587 1.2860 4.1176
O 3.5804 4.3427 7.0245
O 5.1782 1.7706 3.3105
```

Largest 10 diffraction maxima, most intense first, 5 to 70 degrees two-theta:
| 2θ (°) | I/Imax |
| --- | --- |
| 32.1 | 100 |
| 29.2 | 27 |
| 53.6 | 18 |
| 44.6 | 16 |
| 42.8 | 16 |
| 33.0 | 15 |
| 30.6 | 14 |
| 24.0 | 13 |
| 62.6 | 13 |
| 50.7 | 13 |



[11]
Structure and theoretical powder X-ray diffraction pattern of TbGdCu2Sb4 (a structure optimized by DFT (PBE); Cu Kα X-rays).

Cell and atoms:
```
8
Lattice="4.3149 0.0000 0.0000 0.0000 4.3149 0.0000 0.0000 0.0000 9.8902" Properties=species:S:1:pos:R:3 pbc="T T T"
Tb 0.0000 0.0000 0.0000
Gd 2.1574 2.1574 4.9340
Cu 0.0000 2.1574 7.4125
Cu 2.1574 0.0000 7.4125
Sb 0.0000 0.0000 5.8289
Sb 0.0000 2.1574 2.4649
Sb 2.1574 0.0000 2.4649
Sb 2.1574 2.1574 8.9960
```

Largest 10 diffraction maxima, most intense first, 5 to 70 degrees two-theta:
| 2θ (°) | I/Imax |
| --- | --- |
| 34.5 | 100 |
| 41.9 | 40 |
| 50.8 | 21 |
| 34.2 | 19 |
| 27.4 | 14 |
| 67.9 | 14 |
| 60.7 | 13 |
| 30.7 | 12 |
| 56.6 | 11 |
| 36.3 | 10 |



[12]
Structure and theoretical powder X-ray diffraction pattern of BaSrCdSbP (a structure optimized by DFT (PBE); Cu Kα X-rays).

Cell and atoms:
```
10
Lattice="2.3136 -8.7476 0.0000 2.3136 8.7476 0.0000 0.0000 0.0000 8.0533" Properties=species:S:1:pos:R:3 pbc="T T T"
Ba 2.3136 4.9220 4.0266
Ba 2.3136 -4.9220 0.0000
Sr 2.3136 8.1196 0.9983
Sr 2.3136 -8.1196 5.0250
Cd 2.3136 1.6494 2.3373
Cd 2.3136 -1.6494 6.3639
Sb 2.3136 1.2049 7.3935
Sb 2.3136 -1.2049 3.3668
P 2.3136 5.8679 7.0746
P 2.3136 -5.8679 3.0479
```

Largest 10 diffraction maxima, most intense first, 5 to 70 degrees two-theta:
| 2θ (°) | I/Imax |
| --- | --- |
| 27.0 | 100 |
| 32.1 | 65 |
| 29.9 | 63 |
| 38.9 | 38 |
| 41.9 | 28 |
| 35.0 | 26 |
| 30.2 | 26 |
| 33.3 | 26 |
| 15.0 | 20 |
| 39.4 | 19 |